[1]
The following is a calculated X-ray diffraction stick pattern of CePu3. It was derived from a structure optimized by DFT (PBE), using λ = 1.5418 Å (Cu Kα).
Peak positions follow from Bragg's law for the DFT cell and can differ from measured ones.

Largest 10 diffraction maxima, sorted by position, 2θ from 5° to 70°:
2theta	I (rel.)
24.1	183
30.4	407
35.7	1000
37.1	786
44.7	150
48.7	225
53.5	282
56.5	314
66.0	349
66.4	86

Crystal structure
```
data_CePu3
_chemical_formula_sum 'Ce1 Pu3'
_cell_length_a 4.847
_cell_length_b 4.847
_cell_length_c 3.700
_cell_angle_alpha 90.00
_cell_angle_beta 90.00
_cell_angle_gamma 90.00
_symmetry_space_group_name_H-M 'P 1'
_symmetry_Int_Tables_number 1
loop_
_symmetry_equiv_pos_as_xyz
'x,y,z'
loop_
_atom_site_label
_atom_site_fract_x
_atom_site_fract_y
_atom_site_fract_z
Ce1 0.000 0.000 0.000
Pu1 0.000 0.500 0.632
Pu2 0.500 0.000 0.632
Pu3 0.500 0.500 0.338
```

=====

[2]
The following is a calculated X-ray diffraction stick pattern of Ba2GdB2ClO6. It was derived from a structure optimized by DFT (PBE), using λ = 1.5418 Å (Cu Kα).
Peak positions follow from Bragg's law for the DFT cell and can differ from measured ones.

Largest 10 diffraction maxima, sorted by position, 2θ from 5° to 70°:
2theta	I (rel.)
21.5	631
23.3	254
25.7	233
27.8	204
28.5	1000
29.3	180
33.3	314
34.7	199
37.1	176
42.6	261

Crystal structure
```
data_Ba2GdB2ClO6
_chemical_formula_sum 'Ba4 Gd2 B4 Cl2 O12'
_cell_length_a 6.516
_cell_length_b 5.379
_cell_length_c 11.596
_cell_angle_alpha 90.00
_cell_angle_beta 95.62
_cell_angle_gamma 90.00
_symmetry_space_group_name_H-M 'P 1'
_symmetry_Int_Tables_number 1
loop_
_symmetry_equiv_pos_as_xyz
'x,y,z'
loop_
_atom_site_label
_atom_site_fract_x
_atom_site_fract_y
_atom_site_fract_z
Ba1 0.096 0.250 0.209
Ba2 0.341 0.250 0.575
Ba3 0.659 0.750 0.425
Ba4 0.904 0.750 0.791
Gd1 0.346 0.250 0.911
Gd2 0.654 0.750 0.089
B1 0.209 0.750 0.075
B2 0.377 0.750 0.723
B3 0.623 0.250 0.277
B4 0.791 0.250 0.925
Cl1 0.150 0.750 0.417
Cl2 0.850 0.250 0.583
O1 0.010 0.750 0.101
O2 0.293 0.529 0.760
O3 0.293 0.971 0.760
O4 0.321 0.531 0.065
O5 0.321 0.969 0.065
O6 0.475 0.250 0.355
O7 0.525 0.750 0.645
O8 0.679 0.031 0.935
O9 0.679 0.469 0.935
O10 0.707 0.029 0.240
O11 0.707 0.471 0.240
O12 0.990 0.250 0.899
```

=====

[3]
The following is a calculated X-ray diffraction stick pattern of KLiPPd. It was derived from a structure optimized by DFT (PBE), using λ = 1.5418 Å (Cu Kα).
Peak positions follow from Bragg's law for the DFT cell and can differ from measured ones.

Largest 10 diffraction maxima, sorted by position, 2θ from 5° to 70°:
2theta	I (rel.)
15.1	938
25.0	202
26.5	1000
30.6	406
32.0	746
35.6	164
43.1	548
45.9	316
53.8	459
65.3	158

Crystal structure
```
data_KLiPPd
_chemical_formula_sum 'K3 Li3 P3 Pd3'
_cell_length_a 4.197
_cell_length_b 4.197
_cell_length_c 17.553
_cell_angle_alpha 90.00
_cell_angle_beta 90.00
_cell_angle_gamma 120.00
_symmetry_space_group_name_H-M 'P 1'
_symmetry_Int_Tables_number 1
loop_
_symmetry_equiv_pos_as_xyz
'x,y,z'
loop_
_atom_site_label
_atom_site_fract_x
_atom_site_fract_y
_atom_site_fract_z
K1 0.000 0.000 0.000
K2 0.333 0.667 0.667
K3 0.667 0.333 0.333
Li1 0.000 0.000 0.816
Li2 0.333 0.667 0.483
Li3 0.667 0.333 0.149
P1 0.000 0.000 0.194
P2 0.333 0.667 0.861
P3 0.667 0.333 0.527
Pd1 0.000 0.000 0.523
Pd2 0.333 0.667 0.190
Pd3 0.667 0.333 0.857
```

=====

[4]
The following is a calculated X-ray diffraction stick pattern of Ce2ErSn2. It was derived from a structure optimized by DFT (PBE), using λ = 1.5418 Å (Cu Kα).
Peak positions follow from Bragg's law for the DFT cell and can differ from measured ones.

Largest 10 diffraction maxima, sorted by position, 2θ from 5° to 70°:
2theta	I (rel.)
30.8	1000
34.2	723
34.5	347
38.9	223
39.7	257
48.3	139
53.6	202
56.8	149
57.5	171
64.3	122

Crystal structure
```
data_Ce2ErSn2
_chemical_formula_sum 'Ce4 Er2 Sn4'
_cell_length_a 10.010
_cell_length_b 4.542
_cell_length_c 7.869
_cell_angle_alpha 90.00
_cell_angle_beta 129.31
_cell_angle_gamma 90.00
_symmetry_space_group_name_H-M 'P 1'
_symmetry_Int_Tables_number 1
loop_
_symmetry_equiv_pos_as_xyz
'x,y,z'
loop_
_atom_site_label
_atom_site_fract_x
_atom_site_fract_y
_atom_site_fract_z
Ce1 0.072 0.000 0.402
Ce2 0.428 0.500 0.598
Ce3 0.572 0.500 0.402
Ce4 0.928 0.000 0.598
Er1 0.000 0.500 0.000
Er2 0.500 0.000 0.000
Sn1 0.216 0.500 0.798
Sn2 0.284 0.000 0.202
Sn3 0.716 0.000 0.798
Sn4 0.784 0.500 0.202
```

=====

[5]
The following is a calculated X-ray diffraction stick pattern of SmZn4Ir2. It was derived from a structure optimized by DFT (PBE), using λ = 1.5418 Å (Cu Kα).
Peak positions follow from Bragg's law for the DFT cell and can differ from measured ones.

Largest 10 diffraction maxima, sorted by position, 2θ from 5° to 70°:
2theta	I (rel.)
27.2	505
32.9	510
34.0	984
39.8	361
41.5	236
43.2	1000
44.1	438
48.8	360
67.9	264
69.7	241

Crystal structure
```
data_SmZn4Ir2
_chemical_formula_sum 'Sm2 Zn8 Ir4'
_cell_length_a 7.692
_cell_length_b 7.692
_cell_length_c 4.106
_cell_angle_alpha 90.00
_cell_angle_beta 90.00
_cell_angle_gamma 90.00
_symmetry_space_group_name_H-M 'P 1'
_symmetry_Int_Tables_number 1
loop_
_symmetry_equiv_pos_as_xyz
'x,y,z'
loop_
_atom_site_label
_atom_site_fract_x
_atom_site_fract_y
_atom_site_fract_z
Sm1 0.000 0.000 0.000
Sm2 0.500 0.500 0.500
Zn1 0.092 0.347 0.500
Zn2 0.153 0.592 0.000
Zn3 0.347 0.092 0.500
Zn4 0.408 0.847 0.000
Zn5 0.592 0.153 0.000
Zn6 0.653 0.908 0.500
Zn7 0.847 0.408 0.000
Zn8 0.908 0.653 0.500
Ir1 0.214 0.786 0.500
Ir2 0.286 0.286 0.000
Ir3 0.714 0.714 0.000
Ir4 0.786 0.214 0.500
```

=====

[6]
The following is a calculated X-ray diffraction stick pattern of Ce2ThTl3. It was derived from a structure optimized by DFT (PBE), using λ = 1.5418 Å (Cu Kα).
Peak positions follow from Bragg's law for the DFT cell and can differ from measured ones.

Largest 10 diffraction maxima, sorted by position, 2θ from 5° to 70°:
2theta	I (rel.)
6.3	42
26.2	10
31.9	1000
36.2	361
38.6	149
52.1	128
54.0	231
62.4	301
65.7	128
66.7	123

Crystal structure
```
data_Ce2ThTl3
_chemical_formula_sum 'Ce2 Th1 Tl3'
_cell_length_a 3.512
_cell_length_b 3.512
_cell_length_c 13.984
_cell_angle_alpha 90.00
_cell_angle_beta 90.00
_cell_angle_gamma 90.00
_symmetry_space_group_name_H-M 'P 1'
_symmetry_Int_Tables_number 1
loop_
_symmetry_equiv_pos_as_xyz
'x,y,z'
loop_
_atom_site_label
_atom_site_fract_x
_atom_site_fract_y
_atom_site_fract_z
Ce1 0.000 0.000 0.167
Ce2 0.000 0.000 0.833
Th1 0.000 0.000 0.500
Tl1 0.500 0.500 0.000
Tl2 0.500 0.500 0.331
Tl3 0.500 0.500 0.669
```

=====

[7]
The following is a calculated X-ray diffraction stick pattern of Rb3AgF8. It was derived from a structure optimized by DFT (PBE), using λ = 1.5418 Å (Cu Kα).
Peak positions follow from Bragg's law for the DFT cell and can differ from measured ones.

Largest 10 diffraction maxima, sorted by position, 2θ from 5° to 70°:
2theta	I (rel.)
23.9	326
24.3	215
27.1	1000
34.3	372
42.8	291
44.0	312
49.6	286
51.4	152
66.9	120
69.0	161

Crystal structure
```
data_Rb3AgF8
_chemical_formula_sum 'Rb6 Ag2 F16'
_cell_length_a 8.454
_cell_length_b 8.454
_cell_length_c 7.458
_cell_angle_alpha 90.00
_cell_angle_beta 90.00
_cell_angle_gamma 120.00
_symmetry_space_group_name_H-M 'P 1'
_symmetry_Int_Tables_number 1
loop_
_symmetry_equiv_pos_as_xyz
'x,y,z'
loop_
_atom_site_label
_atom_site_fract_x
_atom_site_fract_y
_atom_site_fract_z
Rb1 0.156 0.312 0.000
Rb2 0.156 0.844 0.000
Rb3 0.312 0.156 0.500
Rb4 0.688 0.844 0.000
Rb5 0.844 0.156 0.500
Rb6 0.844 0.688 0.500
Ag1 0.333 0.667 0.471
Ag2 0.667 0.333 0.971
F1 0.000 0.000 0.253
F2 0.000 0.000 0.753
F3 0.109 0.555 0.322
F4 0.218 0.437 0.613
F5 0.218 0.782 0.613
F6 0.333 0.667 0.962
F7 0.437 0.218 0.113
F8 0.445 0.555 0.322
F9 0.445 0.891 0.322
F10 0.555 0.109 0.822
F11 0.555 0.445 0.822
F12 0.563 0.782 0.613
F13 0.667 0.333 0.462
F14 0.782 0.218 0.113
F15 0.782 0.563 0.113
F16 0.891 0.445 0.822
```

=====

[8]
The following is a calculated X-ray diffraction stick pattern of SbSCl9. It was derived from a structure optimized by DFT (PBE), using λ = 1.5418 Å (Cu Kα).
Peak positions follow from Bragg's law for the DFT cell and can differ from measured ones.

Largest 10 diffraction maxima, sorted by position, 2θ from 5° to 70°:
2theta	I (rel.)
13.2	193
13.5	327
15.4	1000
15.7	470
21.9	202
22.2	245
25.9	169
26.9	342
30.2	156
34.3	171

Crystal structure
```
data_SbSCl9
_chemical_formula_sum 'Sb2 S2 Cl18'
_cell_length_a 8.023
_cell_length_b 8.023
_cell_length_c 14.100
_cell_angle_alpha 105.17
_cell_angle_beta 105.17
_cell_angle_gamma 59.92
_symmetry_space_group_name_H-M 'P 1'
_symmetry_Int_Tables_number 1
loop_
_symmetry_equiv_pos_as_xyz
'x,y,z'
loop_
_atom_site_label
_atom_site_fract_x
_atom_site_fract_y
_atom_site_fract_z
Sb1 0.000 0.000 0.000
Sb2 0.500 0.500 0.500
S1 0.175 0.175 0.725
S2 0.825 0.825 0.275
Cl1 0.007 0.007 0.174
Cl2 0.045 0.437 0.809
Cl3 0.185 0.185 0.051
Cl4 0.236 0.236 0.613
Cl5 0.278 0.704 0.618
Cl6 0.296 0.722 0.382
Cl7 0.297 0.703 0.000
Cl8 0.317 0.317 0.435
Cl9 0.437 0.045 0.809
Cl10 0.563 0.955 0.191
Cl11 0.683 0.683 0.565
Cl12 0.703 0.297 0.000
Cl13 0.704 0.278 0.618
Cl14 0.722 0.296 0.382
Cl15 0.764 0.764 0.387
Cl16 0.815 0.815 0.949
Cl17 0.955 0.563 0.191
Cl18 0.993 0.993 0.826
```